# 1
The following is a computed powder X-ray diffraction pattern of LuPuMnOs. It was derived from a crystal structure in Alexandria, relaxed with PBE, using Cu Kα, 1.54184 Å.

Largest 10 diffraction maxima, in order of falling intensity, 2θ from 10° to 80°:
2θ (°)	d (Å)	I (rel.)
37.7	2.384	100.0
68.1	1.377	35.9
54.4	1.686	17.5
22.8	3.894	11.3
26.4	3.372	7.9
44.6	2.033	6.3
61.5	1.508	3.4
59.8	1.547	2.8
46.7	1.947	2.4
72.9	1.298	2.1

Lattice parameters (Å, degrees): 6.7440 6.7440 6.7440 90.00 90.00 90.00
Fractional positions:
1 Lu 0.0000 0.0000 0.0000
2 Lu 0.0000 0.5000 0.5000
3 Lu 0.5000 0.0000 0.5000
4 Lu 0.5000 0.5000 0.0000
5 Pu 0.0000 0.0000 0.5000
6 Pu 0.0000 0.5000 0.0000
7 Pu 0.5000 0.0000 0.0000
8 Pu 0.5000 0.5000 0.5000
9 Mn 0.2500 0.2500 0.2500
10 Mn 0.2500 0.7500 0.7500
11 Mn 0.7500 0.2500 0.7500
12 Mn 0.7500 0.7500 0.2500
13 Os 0.2500 0.2500 0.7500
14 Os 0.2500 0.7500 0.2500
15 Os 0.7500 0.2500 0.2500
16 Os 0.7500 0.7500 0.7500

=====

# 2
The following is a computed powder X-ray diffraction pattern of PrLuMnZn. It was derived from a crystal structure in Alexandria, relaxed with PBE, using Cu Kα, 1.54184 Å.

Largest 9 diffraction maxima, in order of falling intensity, 2θ from 10° to 80°:
2θ (°)	d (Å)	I (rel.)
35.4	2.537	100.0
63.5	1.464	35.5
24.8	3.587	21.9
50.9	1.794	17.5
74.9	1.268	10.9
57.4	1.604	9.4
43.7	2.071	6.8
21.5	4.142	1.3
41.8	2.163	0.8

Lattice parameters (Å, degrees): 7.1743 7.1743 7.1743 90.00 90.00 90.00
Fractional positions:
1 Pr 0.0000 0.0000 0.0000
2 Pr 0.0000 0.5000 0.5000
3 Pr 0.5000 0.0000 0.5000
4 Pr 0.5000 0.5000 0.0000
5 Lu 0.0000 0.0000 0.5000
6 Lu 0.0000 0.5000 0.0000
7 Lu 0.5000 0.0000 0.0000
8 Lu 0.5000 0.5000 0.5000
9 Mn 0.2500 0.2500 0.7500
10 Mn 0.2500 0.7500 0.2500
11 Mn 0.7500 0.2500 0.2500
12 Mn 0.7500 0.7500 0.7500
13 Zn 0.2500 0.2500 0.2500
14 Zn 0.2500 0.7500 0.7500
15 Zn 0.7500 0.2500 0.7500
16 Zn 0.7500 0.7500 0.2500

=====

# 3
The following is a computed powder X-ray diffraction pattern of Lu4MnS7. It was derived from a crystal structure in Alexandria, relaxed with PBE, using Cu Kα, 1.54184 Å.

Largest 10 diffraction maxima, in order of falling intensity, 2θ from 10° to 80°:
2θ (°)	d (Å)	I (rel.)
24.8	3.595	100.0
25.2	3.534	93.8
28.9	3.086	88.5
35.4	2.536	56.7
34.2	2.623	51.5
33.0	2.718	45.2
43.3	2.089	42.2
32.5	2.753	37.6
25.8	3.458	35.3
48.9	1.862	33.3

Lattice parameters (Å, degrees): 6.4442 6.4442 11.2910 104.17 104.17 33.59
Fractional positions:
1 Lu 0.0000 0.0000 0.0000
2 Lu 0.3876 0.3876 0.6001
3 Lu 0.5799 0.5799 0.3658
4 Lu 0.6940 0.6940 0.8026
5 Mn 0.8084 0.8084 0.2186
6 S 0.0342 0.0342 0.7465
7 S 0.1984 0.1984 0.2962
8 S 0.3543 0.3543 0.8483
9 S 0.4285 0.4285 0.1504
10 S 0.6575 0.6575 0.0202
11 S 0.7317 0.7317 0.5828
12 S 0.9510 0.9510 0.4392

=====

# 4
The following is a computed powder X-ray diffraction pattern of LuSc3Mn4Si4. It was derived from a crystal structure in Alexandria, relaxed with PBE, using Cu Kα, 1.54184 Å.

Largest 10 diffraction maxima, in order of falling intensity, 2θ from 10° to 80°:
2θ (°)	d (Å)	I (rel.)
36.1	2.486	100.0
37.6	2.395	72.6
43.2	2.092	71.2
35.9	2.498	70.0
37.7	2.384	66.6
46.6	1.949	56.8
11.9	7.434	55.6
35.6	2.524	46.7
13.4	6.623	46.6
29.2	3.055	38.7

Lattice parameters (Å, degrees): 6.6234 3.8976 7.4340 90.00 90.57 90.00
Fractional positions:
1 Lu 0.0000 0.0000 0.0000
2 Sc 0.0362 0.5000 0.6317
3 Sc 0.4993 0.0000 0.1379
4 Sc 0.5336 0.5000 0.5015
5 Mn 0.1605 0.5000 0.2617
6 Mn 0.3813 0.0000 0.7590
7 Mn 0.6627 0.5000 0.8732
8 Mn 0.8757 0.0000 0.3792
9 Si 0.2376 0.0000 0.4396
10 Si 0.3047 0.5000 0.9355
11 Si 0.7381 0.0000 0.6912
12 Si 0.7929 0.5000 0.2052

=====

# 5
The following is a computed powder X-ray diffraction pattern of LuScMnZn. It was derived from a crystal structure in Alexandria, relaxed with PBE, using Cu Kα, 1.54184 Å.

Largest 10 diffraction maxima, in order of falling intensity, 2θ from 10° to 80°:
2θ (°)	d (Å)	I (rel.)
37.4	2.403	100.0
67.5	1.387	33.4
22.7	3.924	32.7
44.2	2.049	18.1
54.0	1.699	16.8
79.8	1.201	10.3
26.2	3.398	8.5
59.3	1.559	7.9
72.2	1.308	6.0
61.0	1.520	3.6

Lattice parameters (Å, degrees): 6.7964 6.7964 6.7964 90.00 90.00 90.00
Fractional positions:
1 Lu 0.0000 0.0000 0.0000
2 Lu 0.0000 0.5000 0.5000
3 Lu 0.5000 0.0000 0.5000
4 Lu 0.5000 0.5000 0.0000
5 Sc 0.0000 0.0000 0.5000
6 Sc 0.0000 0.5000 0.0000
7 Sc 0.5000 0.0000 0.0000
8 Sc 0.5000 0.5000 0.5000
9 Mn 0.2500 0.2500 0.7500
10 Mn 0.2500 0.7500 0.2500
11 Mn 0.7500 0.2500 0.2500
12 Mn 0.7500 0.7500 0.7500
13 Zn 0.2500 0.2500 0.2500
14 Zn 0.2500 0.7500 0.7500
15 Zn 0.7500 0.2500 0.7500
16 Zn 0.7500 0.7500 0.2500

=====

# 6
The following is a computed powder X-ray diffraction pattern of Lu2Mn3Si5. It was derived from a crystal structure in Alexandria, relaxed with PBE, using Cu Kα, 1.54184 Å.

Largest 10 diffraction maxima, in order of falling intensity, 2θ from 10° to 80°:
2θ (°)	d (Å)	I (rel.)
31.8	2.818	100.0
41.7	2.166	42.4
39.2	2.297	42.2
35.3	2.546	30.3
25.3	3.524	29.3
38.4	2.347	27.6
38.8	2.319	27.4
58.9	1.567	25.0
33.6	2.667	23.6
18.9	4.694	21.7

Lattice parameters (Å, degrees): 10.4966 10.4966 5.3337 90.00 90.00 90.00
Fractional positions:
1 Lu 0.0763 0.2361 0.0000
2 Lu 0.2361 0.9237 0.0000
3 Lu 0.2639 0.4237 0.5000
4 Lu 0.4237 0.7361 0.5000
5 Lu 0.5763 0.2639 0.5000
6 Lu 0.7361 0.5763 0.5000
7 Lu 0.7639 0.0763 0.0000
8 Lu 0.9237 0.7639 0.0000
9 Mn 0.0000 0.5000 0.2500
10 Mn 0.0000 0.5000 0.7500
11 Mn 0.1212 0.8545 0.5000
12 Mn 0.1455 0.1212 0.5000
13 Mn 0.3545 0.6212 0.0000
14 Mn 0.3788 0.3545 0.0000
15 Mn 0.5000 0.0000 0.2500
16 Mn 0.5000 0.0000 0.7500
17 Mn 0.6212 0.6455 0.0000
18 Mn 0.6455 0.3788 0.0000
19 Mn 0.8545 0.8788 0.5000
20 Mn 0.8788 0.1455 0.5000
21 Si 0.0000 0.0000 0.2514
22 Si 0.0000 0.0000 0.7486
23 Si 0.0263 0.3143 0.5000
24 Si 0.1746 0.6746 0.2500
25 Si 0.1746 0.6746 0.7500
26 Si 0.1857 0.4737 0.0000
27 Si 0.3143 0.9737 0.5000
28 Si 0.3254 0.1746 0.2500
29 Si 0.3254 0.1746 0.7500
30 Si 0.4737 0.8143 0.0000
31 Si 0.5000 0.5000 0.2486
32 Si 0.5000 0.5000 0.7514
33 Si 0.5263 0.1857 0.0000
34 Si 0.6746 0.8254 0.2500
35 Si 0.6746 0.8254 0.7500
36 Si 0.6857 0.0263 0.5000
37 Si 0.8143 0.5263 0.0000
38 Si 0.8254 0.3254 0.2500
39 Si 0.8254 0.3254 0.7500
40 Si 0.9737 0.6857 0.5000

=====

# 7
The following is a computed powder X-ray diffraction pattern of LuMnTc. It was derived from a crystal structure in Alexandria, relaxed with PBE, using Cu Kα, 1.54184 Å.

Largest 10 diffraction maxima, in order of falling intensity, 2θ from 10° to 80°:
2θ (°)	d (Å)	I (rel.)
38.6	2.333	100.0
41.3	2.187	46.7
30.1	2.971	32.0
73.5	1.289	29.3
54.2	1.691	16.2
33.6	2.665	15.7
59.8	1.547	15.4
68.7	1.366	14.0
68.0	1.379	12.8
51.4	1.777	7.4

Lattice parameters (Å, degrees): 3.0934 3.0934 10.6616 90.00 90.00 90.00
Fractional positions:
1 Lu 0.0000 0.0000 0.0000
2 Lu 0.5000 0.5000 0.5000
3 Mn 0.0000 0.0000 0.3065
4 Mn 0.5000 0.5000 0.8065
5 Tc 0.0000 0.0000 0.6944
6 Tc 0.5000 0.5000 0.1944